Entry 1:
Structure and simulated X-ray powder pattern of Tm4Mn4Sn7 (a cell relaxed with GGA-PBE; Cu Kα (λ = 1.5418 Å)).
Intensities are scaled so that the largest is 100.

Structure:
abc: 10.9719 10.9719 10.9719
angles: 94.02 94.02 149.27
Fractional positions:
Tm 0.0000 0.1934 0.1934
Tm 0.0000 0.8066 0.8066
Tm 0.1934 0.0000 0.1934
Tm 0.3609 0.3609 0.7217
Tm 0.3609 0.6391 0.0000
Tm 0.6391 0.3609 0.0000
Tm 0.6391 0.6391 0.2783
Tm 0.8066 0.0000 0.8066
Mn 0.1002 0.6002 0.2003
Mn 0.1002 0.8998 0.5000
Mn 0.3998 0.6002 0.5000
Mn 0.3998 0.8998 0.7997
Mn 0.6002 0.1002 0.2003
Mn 0.6002 0.3998 0.5000
Mn 0.8998 0.1002 0.5000
Mn 0.8998 0.3998 0.7997
Sn 0.0000 0.4029 0.4029
Sn 0.0000 0.5971 0.5971
Sn 0.2036 0.2036 0.4071
Sn 0.2036 0.7964 0.0000
Sn 0.2128 0.5000 0.7128
Sn 0.2505 0.2505 0.0000
Sn 0.4029 0.0000 0.4029
Sn 0.5000 0.2128 0.7128
Sn 0.5000 0.7872 0.2872
Sn 0.5971 0.0000 0.5971
Sn 0.7495 0.7495 0.0000
Sn 0.7872 0.5000 0.2872
Sn 0.7964 0.2036 0.0000
Sn 0.7964 0.7964 0.5929

Principal peaks in the range 2θ = 5–70°, low angle first:
two_theta  I (rel.)
30.8  19.8
33.7  100.0
33.9  10.4
36.0  18.7
36.3  32.7
41.1  10.0
42.7  8.9
50.1  9.4
56.6  27.3
67.4  7.8

Entry 2:
Structure and simulated X-ray powder pattern of BaTeS3O2 (a cell relaxed with GGA-PBE; Cu Kα (λ = 1.5418 Å)).
Intensities are scaled so that the largest is 100.

Structure:
abc: 6.7340 6.5734 14.9458
angles: 90.00 90.00 90.00
Fractional positions:
Ba 0.1862 0.2500 0.0000
Ba 0.1862 0.2500 0.5000
Ba 0.8138 0.7500 0.0000
Ba 0.8138 0.7500 0.5000
Te 0.3845 0.5289 0.2500
Te 0.3845 0.9711 0.7500
Te 0.6155 0.0289 0.2500
Te 0.6155 0.4711 0.7500
S 0.1478 0.2224 0.7500
S 0.1478 0.2776 0.2500
S 0.3444 0.7416 0.1031
S 0.3444 0.7416 0.3969
S 0.3444 0.7584 0.6031
S 0.3444 0.7584 0.8969
S 0.6556 0.2416 0.1031
S 0.6556 0.2416 0.3969
S 0.6556 0.2584 0.6031
S 0.6556 0.2584 0.8969
S 0.8522 0.7224 0.7500
S 0.8522 0.7776 0.2500
O 0.1558 0.6239 0.5820
O 0.1558 0.6239 0.9180
O 0.1558 0.8761 0.0820
O 0.1558 0.8761 0.4180
O 0.8442 0.1239 0.5820
O 0.8442 0.1239 0.9180
O 0.8442 0.3761 0.0820
O 0.8442 0.3761 0.4180

Principal peaks in the range 2θ = 5–70°, low angle first:
two_theta  I (rel.)
17.7  78.1
19.8  48.5
23.8  59.4
26.1  45.0
29.7  81.2
29.8  52.6
30.4  46.2
30.6  100.0
38.9  50.1
50.1  40.8